This entry pairs a crystal structure of In6Te10Pb with its theoretical X-ray powder pattern. Radiation: a wavelength of 1.5418 Å. Structure: a GGA-PBE-relaxed structure.
Neutral-atom scattering factors, no anomalous dispersion.

Cell and atoms:
a = 10.969 Å, b = 10.969 Å, c = 10.917 Å
α = 90.45°, β = 90.45°, γ = 89.08°
Positions (direct):
In 0.041 0.041 0.333
In 0.123 0.389 0.255
In 0.208 0.372 0.876
In 0.356 0.088 0.156
In 0.443 0.471 0.173
In 0.529 0.557 0.827
In 0.611 0.877 0.745
In 0.628 0.792 0.124
In 0.660 0.059 0.423
In 0.912 0.644 0.844
In 0.941 0.340 0.577
In 0.959 0.959 0.667
Te 0.017 0.543 0.436
Te 0.109 0.774 0.757
Te 0.114 0.145 0.568
Te 0.214 0.551 0.070
Te 0.226 0.891 0.243
Te 0.288 0.128 0.907
Te 0.348 0.451 0.674
Te 0.354 0.286 0.332
Te 0.449 0.786 0.930
Te 0.457 0.983 0.564
Te 0.549 0.652 0.326
Te 0.615 0.385 0.000
Te 0.619 0.052 0.163
Te 0.694 0.306 0.500
Te 0.714 0.646 0.668
Te 0.779 0.047 0.832
Te 0.855 0.886 0.432
Te 0.872 0.712 0.093
Te 0.948 0.381 0.837
Te 0.953 0.221 0.168
Pb 0.519 0.212 0.742
Pb 0.788 0.481 0.258

The 10 most intense peaks (2θ = 10–90°), in order of rising 2θ:
- 2θ = 24.16°, I = 55
- 2θ = 24.49°, I = 100
- 2θ = 25.76°, I = 26
- 2θ = 27.12°, I = 96
- 2θ = 30.26°, I = 33
- 2θ = 30.71°, I = 28
- 2θ = 42.12°, I = 25
- 2θ = 42.22°, I = 25
- 2θ = 42.32°, I = 38
- 2θ = 44.82°, I = 28